(1)
For LaDy2HoTm4, the GGA-PBE geometry in Alexandria gives the calculated XRD peak list in this record (λ = 1.5418 Å (Cu Kα)).
No peak broadening, texture or thermal motion is included.

Cell and atoms:
Unit cell a=7.088 b=7.107 c=9.931 alpha=90.00 beta=90.00 gamma=90.00
Element x y z (fractional)
La1 0.000 0.000 0.000
La2 0.000 0.500 0.000
Dy1 0.000 0.000 0.500
Dy2 0.500 0.000 0.000
Dy3 0.500 0.000 0.500
Dy4 0.500 0.500 0.500
Ho1 0.000 0.500 0.500
Ho2 0.500 0.500 0.000
Tm1 0.253 0.250 0.253
Tm2 0.253 0.250 0.747
Tm3 0.253 0.750 0.253
Tm4 0.253 0.750 0.747
Tm5 0.747 0.250 0.253
Tm6 0.747 0.250 0.747
Tm7 0.747 0.750 0.253
Tm8 0.747 0.750 0.747

The 10 most intense peaks (10° ≤ 2θ ≤ 90°), most intense first:
d_spacing  I_rel
2.887  100
2.509  34
1.512  29
1.765  24
2.483  17
1.500  14
1.146  12
1.445  6
1.442  6
1.777  6


(2)
For La2DyYHo, the GGA-PBE geometry in Alexandria gives the calculated XRD peak list in this record (λ = 1.5418 Å (Cu Kα)).
No peak broadening, texture or thermal motion is included.

Cell and atoms:
Unit cell a=7.216 b=7.216 c=7.337 alpha=90.00 beta=90.00 gamma=108.68
Element x y z (fractional)
La1 0.196 0.196 0.000
La2 0.196 0.196 0.500
La3 0.804 0.804 0.000
La4 0.804 0.804 0.500
Dy1 0.470 0.530 0.750
Dy2 0.530 0.470 0.250
Y1 0.251 0.749 0.250
Y2 0.749 0.251 0.750
Ho1 0.211 0.789 0.750
Ho2 0.789 0.211 0.250

The 10 most intense peaks (10° ≤ 2θ ≤ 90°), most intense first:
d_spacing  I_rel
2.765  100
2.011  54
2.931  49
3.110  45
2.549  45
2.726  45
3.418  40
3.232  34
2.279  33
5.863  28


(3)
For LaDy6Y2Ho3, the GGA-PBE geometry in Alexandria gives the calculated XRD peak list in this record (λ = 1.5418 Å (Cu Kα)).
No peak broadening, texture or thermal motion is included.

Cell and atoms:
Unit cell a=6.191 b=6.191 c=11.522 alpha=90.01 beta=90.01 gamma=119.94
Element x y z (fractional)
La1 0.000 0.000 0.000
Dy1 0.000 0.334 0.747
Dy2 0.000 0.666 0.253
Dy3 0.334 0.000 0.747
Dy4 0.334 0.334 0.253
Dy5 0.666 0.000 0.253
Dy6 0.666 0.666 0.747
Y1 0.334 0.666 0.000
Y2 0.666 0.334 0.000
Ho1 0.000 0.000 0.500
Ho2 0.333 0.667 0.500
Ho3 0.667 0.333 0.500

The 10 most intense peaks (10° ≤ 2θ ≤ 90°), most intense first:
d_spacing  I_rel
2.728  100
2.990  55
2.881  36
1.519  32
2.411  31
1.788  27
1.632  21
1.495  16
1.849  14
1.122  12